Structure and theoretical powder diffraction line list of Sr4Tl4Hg3 (a crystal structure in Alexandria, relaxed with PBE; Cu Kα).
No peak broadening, texture or thermal motion is included.

Most intense lines, 2θ = 10–80°, in order of rising 2θ:
| Position (°2θ) | Rel. int. |
| --- | --- |
| 22.3 | 47.4 |
| 29.2 | 52.5 |
| 29.5 | 27.3 |
| 31.0 | 21.0 |
| 31.1 | 26.1 |
| 33.7 | 100.0 |
| 34.7 | 49.1 |
| 40.3 | 23.1 |
| 41.2 | 21.3 |
| 58.5 | 21.9 |

Crystal structure
abc: 3.9866 5.1668 17.2898
angles: 81.45 88.51 89.94
Fractional coordinates of all 11 atoms:
Sr: 0.0001 0.1790 0.1406
Sr: 0.9999 0.8210 0.8594
Sr: 0.0274 0.4453 0.6116
Sr: 0.9726 0.5547 0.3884
Tl: 0.4238 0.2726 0.9551
Tl: 0.4858 0.0909 0.3158
Tl: 0.5142 0.9091 0.6842
Tl: 0.5762 0.7274 0.0449
Hg: 0.4751 0.6381 0.2209
Hg: 0.5000 0.0000 0.5000
Hg: 0.5249 0.3619 0.7791



Structure and theoretical powder diffraction line list of SrTl5Hg8 (a crystal structure in Alexandria, relaxed with PBE; Cu Kα).
No peak broadening, texture or thermal motion is included.

Most intense lines, 2θ = 10–80°, in order of rising 2θ:
| Position (°2θ) | Rel. int. |
| --- | --- |
| 29.5 | 57.1 |
| 30.1 | 100.0 |
| 35.3 | 33.1 |
| 35.6 | 48.1 |
| 35.8 | 57.0 |
| 46.7 | 16.4 |
| 47.3 | 15.2 |
| 48.8 | 12.7 |
| 62.5 | 13.9 |
| 63.4 | 14.7 |

Crystal structure
abc: 8.1878 8.1878 9.3773
angles: 124.92 124.92 71.86
Fractional coordinates of all 14 atoms:
Sr: 0.0000 0.0000 0.0000
Tl: 0.1156 0.3788 0.8946
Tl: 0.2499 0.7501 0.5000
Tl: 0.4827 0.2208 0.5987
Tl: 0.6212 0.8844 0.1054
Tl: 0.7792 0.5173 0.4013
Hg: 0.0276 0.1376 0.4310
Hg: 0.2378 0.6068 0.7598
Hg: 0.3932 0.7622 0.2402
Hg: 0.4030 0.2943 0.2652
Hg: 0.5222 0.1534 0.9155
Hg: 0.7057 0.5970 0.7348
Hg: 0.8466 0.4778 0.0845
Hg: 0.8624 0.9724 0.5690



Structure and theoretical powder diffraction line list of SrTl12Hg7 (a crystal structure in Alexandria, relaxed with PBE; Cu Kα).
No peak broadening, texture or thermal motion is included.

Most intense lines, 2θ = 10–80°, in order of rising 2θ:
| Position (°2θ) | Rel. int. |
| --- | --- |
| 31.5 | 100.0 |
| 31.7 | 70.5 |
| 32.5 | 48.5 |
| 32.9 | 78.5 |
| 34.2 | 34.7 |
| 34.4 | 37.8 |
| 35.6 | 19.6 |
| 53.9 | 21.2 |
| 57.2 | 22.5 |
| 57.8 | 30.0 |

Crystal structure
abc: 8.6984 8.6984 8.6984
angles: 102.55 102.55 102.55
Fractional coordinates of all 20 atoms:
Sr: 0.0000 0.0000 0.0000
Tl: 0.0000 0.2670 0.7330
Tl: 0.0000 0.7330 0.2670
Tl: 0.1840 0.5910 0.5910
Tl: 0.2670 0.0000 0.7330
Tl: 0.2670 0.7330 0.0000
Tl: 0.4090 0.4090 0.8160
Tl: 0.4090 0.8160 0.4090
Tl: 0.5910 0.1840 0.5910
Tl: 0.5910 0.5910 0.1840
Tl: 0.7330 0.0000 0.2670
Tl: 0.7330 0.2670 0.0000
Tl: 0.8160 0.4090 0.4090
Hg: 0.1573 0.1573 0.4094
Hg: 0.1573 0.4094 0.1573
Hg: 0.4094 0.1573 0.1573
Hg: 0.5000 0.5000 0.5000
Hg: 0.5906 0.8427 0.8427
Hg: 0.8427 0.5906 0.8427
Hg: 0.8427 0.8427 0.5906



Structure and theoretical powder diffraction line list of SrTl3Hg8 (a crystal structure in Alexandria, relaxed with PBE; Cu Kα).
No peak broadening, texture or thermal motion is included.

Most intense lines, 2θ = 10–80°, in order of rising 2θ:
| Position (°2θ) | Rel. int. |
| --- | --- |
| 28.7 | 22.7 |
| 31.3 | 66.7 |
| 33.8 | 100.0 |
| 34.4 | 97.8 |
| 35.5 | 22.0 |
| 37.8 | 27.7 |
| 52.4 | 26.9 |
| 54.1 | 27.1 |
| 56.9 | 34.8 |
| 59.3 | 32.9 |

Crystal structure
abc: 6.2290 6.2290 10.1139
angles: 90.00 90.00 120.00
Fractional coordinates of all 12 atoms:
Sr: 0.0000 0.0000 0.0000
Tl: 0.0000 0.0000 0.3760
Tl: 0.6667 0.3333 0.5023
Tl: 0.6667 0.3333 0.8648
Hg: 0.1617 0.3234 0.6897
Hg: 0.1617 0.8383 0.6897
Hg: 0.3333 0.6667 0.4377
Hg: 0.3333 0.6667 0.9360
Hg: 0.5050 0.0100 0.1863
Hg: 0.5050 0.4950 0.1863
Hg: 0.6766 0.8383 0.6897
Hg: 0.9900 0.4950 0.1863



Structure and theoretical powder diffraction line list of Sr2Tl8Hg (a crystal structure in Alexandria, relaxed with PBE; Cu Kα).
No peak broadening, texture or thermal motion is included.

Most intense lines, 2θ = 10–80°, in order of rising 2θ:
| Position (°2θ) | Rel. int. |
| --- | --- |
| 28.9 | 11.6 |
| 29.0 | 13.8 |
| 30.5 | 31.3 |
| 30.7 | 15.2 |
| 33.1 | 100.0 |
| 33.2 | 57.3 |
| 59.1 | 13.6 |
| 59.3 | 15.2 |
| 60.8 | 15.5 |
| 69.5 | 11.9 |

Crystal structure
abc: 9.8330 9.8330 7.3816
angles: 111.70 111.70 31.94
Fractional coordinates of all 11 atoms:
Sr: 0.2018 0.2018 0.1989
Sr: 0.7982 0.7982 0.8011
Tl: 0.0009 0.0009 0.2217
Tl: 0.1659 0.1659 0.6649
Tl: 0.3722 0.3722 0.6447
Tl: 0.3743 0.3743 0.1021
Tl: 0.6257 0.6257 0.8979
Tl: 0.6278 0.6278 0.3553
Tl: 0.8341 0.8341 0.3351
Tl: 0.9991 0.9991 0.7783
Hg: 0.5000 0.5000 0.5000



Structure and theoretical powder diffraction line list of Sr5Tl4Hg2 (a crystal structure in Alexandria, relaxed with PBE; Cu Kα).
No peak broadening, texture or thermal motion is included.

Most intense lines, 2θ = 10–80°, in order of rising 2θ:
| Position (°2θ) | Rel. int. |
| --- | --- |
| 21.6 | 46.8 |
| 29.8 | 34.0 |
| 29.9 | 96.2 |
| 30.8 | 100.0 |
| 31.2 | 45.2 |
| 32.8 | 30.3 |
| 32.9 | 48.0 |
| 33.1 | 50.5 |
| 44.0 | 35.9 |
| 55.9 | 39.0 |

Crystal structure
abc: 8.9973 19.8394 4.1177
angles: 90.00 90.00 90.00
Fractional coordinates of all 22 atoms:
Sr: 0.0000 0.0000 0.0000
Sr: 0.1129 0.4176 0.0000
Sr: 0.2162 0.2025 0.0000
Sr: 0.2838 0.7025 0.0000
Sr: 0.3871 0.9176 0.0000
Sr: 0.5000 0.5000 0.0000
Sr: 0.6129 0.0824 0.0000
Sr: 0.7162 0.2975 0.0000
Sr: 0.7838 0.7975 0.0000
Sr: 0.8871 0.5824 0.0000
Tl: 0.0999 0.8532 0.5000
Tl: 0.2065 0.5599 0.5000
Tl: 0.2935 0.0599 0.5000
Tl: 0.4001 0.3532 0.5000
Tl: 0.5999 0.6468 0.5000
Tl: 0.7065 0.9401 0.5000
Tl: 0.7935 0.4401 0.5000
Tl: 0.9001 0.1468 0.5000
Hg: 0.0132 0.2975 0.5000
Hg: 0.4868 0.7975 0.5000
Hg: 0.5132 0.2025 0.5000
Hg: 0.9868 0.7025 0.5000



Structure and theoretical powder diffraction line list of SrTl4Hg (a crystal structure in Alexandria, relaxed with PBE; Cu Kα).
No peak broadening, texture or thermal motion is included.

Most intense lines, 2θ = 10–80°, in order of rising 2θ:
| Position (°2θ) | Rel. int. |
| --- | --- |
| 30.6 | 56.5 |
| 31.2 | 100.0 |
| 32.1 | 41.9 |
| 34.5 | 81.6 |
| 39.5 | 19.5 |
| 49.4 | 14.5 |
| 52.5 | 19.5 |
| 59.1 | 16.7 |
| 59.2 | 15.7 |
| 60.1 | 14.2 |

Crystal structure
abc: 5.7170 7.3825 8.8037
angles: 90.00 95.92 90.00
Fractional coordinates of all 12 atoms:
Sr: 0.1085 0.2500 0.3488
Sr: 0.8915 0.7500 0.6512
Tl: 0.0000 0.0000 0.0000
Tl: 0.0000 0.5000 0.0000
Tl: 0.3911 0.0235 0.6816
Tl: 0.3911 0.4765 0.6816
Tl: 0.4947 0.7500 0.9854
Tl: 0.5053 0.2500 0.0146
Tl: 0.6089 0.5235 0.3184
Tl: 0.6089 0.9765 0.3184
Hg: 0.1265 0.7500 0.3204
Hg: 0.8735 0.2500 0.6796



Structure and theoretical powder diffraction line list of Sr2Tl8Hg3 (a crystal structure in Alexandria, relaxed with PBE; Cu Kα).
No peak broadening, texture or thermal motion is included.

Most intense lines, 2θ = 10–80°, in order of rising 2θ:
| Position (°2θ) | Rel. int. |
| --- | --- |
| 23.8 | 15.6 |
| 29.3 | 39.0 |
| 30.6 | 17.4 |
| 30.7 | 11.3 |
| 31.6 | 100.0 |
| 31.9 | 29.4 |
| 34.1 | 42.7 |
| 35.2 | 21.5 |
| 39.2 | 17.4 |
| 59.4 | 15.0 |

Crystal structure
abc: 8.7742 8.7742 5.8556
angles: 104.45 104.45 73.74
Fractional coordinates of all 13 atoms:
Sr: 0.1609 0.1609 0.0898
Sr: 0.8391 0.8391 0.9102
Tl: 0.0834 0.6161 0.3830
Tl: 0.3212 0.3212 0.6818
Tl: 0.3839 0.9166 0.6170
Tl: 0.4337 0.4337 0.2294
Tl: 0.5663 0.5663 0.7706
Tl: 0.6161 0.0834 0.3830
Tl: 0.6788 0.6788 0.3182
Tl: 0.9166 0.3839 0.6170
Hg: 0.0000 0.0000 0.5000
Hg: 0.2444 0.7556 0.0000
Hg: 0.7556 0.2444 0.0000